# 1
For CdBiF6, a cell relaxed with GGA-PBE gives the calculated X-ray diffraction stick pattern in this record (λ = 1.5418 Å (Cu Kα)).
Neutral-atom scattering factors, no anomalous dispersion.

Peak list (10 most intense, 15 to 90 degrees two-theta, sorted by position)
- 18.21 deg, rel. 37, (1 0 0)
- 20.08 deg, rel. 29, (1 0 1)
- 24.89 deg, rel. 100, (1 0 2)
- 31.82 deg, rel. 27, (1 1 0)
- 40.81 deg, rel. 27, (2 0 2)
- 47.26 deg, rel. 36, (2 -1 4)
- 52.66 deg, rel. 27, (3 -1 2)
- 55.59 deg, rel. 11, (1 0 6)
- 56.70 deg, rel. 12, (3 0 0)
- 74.65 deg, rel. 12, (2 1 6)

Structure:
Unit cell a=5.6242 b=5.6242 c=10.5456 alpha=90.00 beta=90.00 gamma=120.00
Space group P-31c (No. 163)
Unique sites:
Cd  0.3333  0.6667  0.2500 [2 per cell]
Bi  0.0000  0.0000  0.0000 [2 per cell]
F  0.0395  0.3295  0.1210 [12 per cell]

***

# 2
For CdBi2F11, a cell relaxed with GGA-PBE gives the calculated X-ray diffraction stick pattern in this record (λ = 1.5418 Å (Cu Kα)).
Neutral-atom scattering factors, no anomalous dispersion.

Peak list (10 most intense, 15 to 90 degrees two-theta, sorted by position)
- 16.36 deg, rel. 54, (0 0 2)
- 21.49 deg, rel. 71, (1 1 2)
- 22.03 deg, rel. 64, (1 2 1)
- 23.89 deg, rel. 66, (0 2 2)
- 24.82 deg, rel. 100, (2 1 1)
- 28.28 deg, rel. 24, (1 3 0)
- 34.25 deg, rel. 25, (2 1 3)
- 44.06 deg, rel. 28, (1 3 4)
- 44.72 deg, rel. 26, (1 4 3)
- 45.71 deg, rel. 41, (3 3 2)

Structure:
Unit cell a=8.185 b=10.262 c=10.834 alpha=90.00 beta=90.00 gamma=90.00
Space group Ibam (No. 72)
Unique sites:
Cd  0.000  0.000  0.250 [4 per cell]
Bi  0.145  0.318  0.000 [8 per cell]
F  0.000  0.500  0.000 [4 per cell]
F  0.101  0.182  0.142 [16 per cell]
F  0.127  0.287  0.500 [8 per cell]
F  0.232  0.071  0.364 [16 per cell]

***

# 3
For K2CdBiF6, a cell relaxed with GGA-PBE gives the calculated X-ray diffraction stick pattern in this record (λ = 1.5418 Å (Cu Kα)).
Neutral-atom scattering factors, no anomalous dispersion.

Peak list (10 most intense, 15 to 90 degrees two-theta, sorted by position)
- 18.85 deg, rel. 73, (1 0 1)
- 19.11 deg, rel. 38, (0 2 0)
- 26.39 deg, rel. 25, (0 0 2)
- 26.96 deg, rel. 100, (1 2 1)
- 27.15 deg, rel. 27, (2 0 0)
- 38.23 deg, rel. 36, (2 0 2)
- 38.78 deg, rel. 19, (0 4 0)
- 43.45 deg, rel. 31, (1 4 1)
- 47.86 deg, rel. 22, (3 2 1)
- 55.59 deg, rel. 21, (2 4 2)

Structure:
Unit cell a=6.569 b=9.289 c=6.753 alpha=90.00 beta=90.00 gamma=90.00
Space group Pmmn (No. 59, origin choice 2)
Unique sites:
K  0.250  0.033  0.198 [4 per cell]
Cd  0.250  0.750  0.767 [2 per cell]
Bi  0.250  0.250  0.721 [2 per cell]
F  0.011  0.250  0.972 [4 per cell]
F  0.029  0.250  0.452 [4 per cell]
F  0.250  0.006  0.789 [4 per cell]

***

# 4
For KCd2BiF8, a cell relaxed with GGA-PBE gives the calculated X-ray diffraction stick pattern in this record (λ = 1.5418 Å (Cu Kα)).
Neutral-atom scattering factors, no anomalous dispersion.

Peak list (10 most intense, 15 to 90 degrees two-theta, sorted by position)
- 19.08 deg, rel. 38, (0 1 1)
- 24.72 deg, rel. 22, (1 1 0)
- 26.93 deg, rel. 51, (1 0 -1)
- 27.04 deg, rel. 50, (1 0 1)
- 27.33 deg, rel. 100, (0 2 1)
- 31.60 deg, rel. 30, (1 2 0)
- 44.89 deg, rel. 65, (2 0 0)
- 45.05 deg, rel. 42, (1 2 2)
- 53.11 deg, rel. 23, (1 0 3)
- 53.90 deg, rel. 27, (1 4 1)

Structure:
Unit cell a=4.041 b=7.936 c=5.739 alpha=90.00 beta=90.26 gamma=90.00
Space group P2/m (No. 10)
Unique sites:
K  0.000  0.000  0.000 [1 per cell]
Cd  0.500  0.234  0.500 [2 per cell]
Bi  0.000  0.500  0.000 [1 per cell]
F  0.002  0.277  0.266 [4 per cell]
F  0.498  0.000  0.726 [2 per cell]
F  0.499  0.500  0.762 [2 per cell]